[1]
Starting from a DFT-relaxed cell (PBE+U, Alexandria), the powder diffraction line list of V2OF5 was simulated for Cu Ka.
Intensities are scaled so that the largest is 100.

Peak list (6 most intense, 2θ = 15–90°, by intensity)
two_theta	I/Imax
28.78	100
20.92	87
28.38	70
41.87	57
28.04	38
53.79	32

Atomic structure:
Unit cell a=8.580 b=4.887 c=4.614 alpha=90.00 beta=91.51 gamma=90.00
Space group C2 (No. 5)
One atom of each set of equivalent atoms:
1 V 0.156 0.000 0.236 x4
2 O 0.000 0.117 0.000 x2
3 F 0.000 0.837 0.500 x2
4 F 0.178 0.660 0.005 x4
5 F 0.184 0.306 0.507 x4

---

[2]
Starting from a DFT-relaxed cell (PBE+U, Alexandria), the powder diffraction line list of V4O7F5 was simulated for Cu Ka.
Intensities are scaled so that the largest is 100.

Peak list (6 most intense, 2θ = 15–90°, by intensity)
two_theta	I/Imax
23.44	100
23.18	92
24.12	88
47.39	27
33.58	21
47.95	20

Atomic structure:
Unit cell a=5.299 b=5.338 c=9.100 alpha=74.01 beta=75.18 gamma=61.42
Space group P1 (No. 1)
One atom of each set of equivalent atoms:
1 V 0.000 0.000 0.000 x1
2 V 0.234 0.247 0.235 x1
3 V 0.489 0.496 0.476 x1
4 V 0.747 0.759 0.743 x1
5 O 0.090 0.562 0.118 x1
6 O 0.103 0.034 0.154 x1
7 O 0.411 0.370 0.350 x1
8 O 0.416 0.837 0.391 x1
9 O 0.592 0.064 0.621 x1
10 O 0.898 0.848 0.849 x1
11 O 0.921 0.319 0.886 x1
12 F 0.105 0.581 0.605 x1
13 F 0.401 0.803 0.897 x1
14 F 0.604 0.536 0.660 x1
15 F 0.609 0.075 0.099 x1
16 F 0.902 0.323 0.409 x1

---

[3]
Starting from a DFT-relaxed cell (PBE+U, Alexandria), the powder diffraction line list of V3O4F2 was simulated for Cu Ka.
Intensities are scaled so that the largest is 100.

Peak list (6 most intense, 2θ = 15–90°, by intensity)
two_theta	I/Imax
27.06	100
34.90	54
53.14	30
52.95	23
40.06	21
55.79	15

Atomic structure:
Unit cell a=3.082 b=4.679 c=13.926 alpha=90.00 beta=90.00 gamma=90.00
Space group Pmn2_1 (No. 31)
One atom of each set of equivalent atoms:
1 V 0.000 0.190 0.000 x2
2 V 0.000 0.256 0.673 x2
3 V 0.000 0.304 0.348 x2
4 O 0.000 0.521 0.907 x2
5 O 0.000 0.551 0.244 x2
6 O 0.000 0.927 0.107 x2
7 O 0.000 0.995 0.434 x2
8 F 0.000 0.585 0.572 x2
9 F 0.000 0.924 0.775 x2

---

[4]
Starting from a DFT-relaxed cell (PBE+U, Alexandria), the powder diffraction line list of VOF3 was simulated for Cu Ka.
Intensities are scaled so that the largest is 100.

Peak list (6 most intense, 2θ = 15–90°, by intensity)
two_theta	I/Imax
25.36	100
19.05	57
23.32	50
25.26	41
47.87	38
38.63	32

Atomic structure:
Unit cell a=5.393 b=5.393 c=9.254 alpha=90.00 beta=90.00 gamma=90.00
Space group P4_1 (No. 76)
One atom of each set of equivalent atoms:
1 V 0.058 0.616 0.000 x4
2 O 0.199 0.434 0.577 x4
3 F 0.067 0.382 0.867 x4
4 F 0.073 0.158 0.347 x4
5 F 0.269 0.451 0.118 x4

---

[5]
Starting from a DFT-relaxed cell (PBE+U, Alexandria), the powder diffraction line list of V6O5F19 was simulated for Cu Ka.
Intensities are scaled so that the largest is 100.

Peak list (6 most intense, 2θ = 15–90°, by intensity)
two_theta	I/Imax
18.40	100
24.57	91
24.91	91
52.94	16
37.31	15
47.24	15

Atomic structure:
Unit cell a=5.426 b=5.547 c=14.722 alpha=79.23 beta=89.75 gamma=89.09
Space group P1 (No. 1)
One atom of each set of equivalent atoms:
1 V 0.000 0.000 0.000 x1
2 V 0.028 0.459 0.336 x1
3 V 0.136 0.740 0.675 x1
4 V 0.526 0.522 0.004 x1
5 V 0.581 0.963 0.336 x1
6 V 0.632 0.192 0.665 x1
7 O 0.360 0.925 0.690 x1
8 O 0.766 0.200 0.317 x1
9 O 0.787 0.806 0.985 x1
10 O 0.840 0.700 0.317 x1
11 O 0.861 0.005 0.648 x1
12 F 0.117 0.425 0.223 x1
13 F 0.120 0.096 0.887 x1
14 F 0.125 0.761 0.554 x1
15 F 0.269 0.764 0.025 x1
16 F 0.290 0.444 0.694 x1
17 F 0.291 0.102 0.360 x1
18 F 0.301 0.271 0.022 x1
19 F 0.313 0.596 0.360 x1
20 F 0.481 0.261 0.556 x1
21 F 0.481 0.610 0.884 x1
22 F 0.487 0.930 0.224 x1
23 F 0.617 0.486 0.121 x1
24 F 0.623 0.156 0.786 x1
25 F 0.627 0.829 0.453 x1
26 F 0.785 0.482 0.649 x1
27 F 0.796 0.294 0.981 x1
28 F 0.975 0.328 0.453 x1
29 F 0.982 0.995 0.120 x1
30 F 0.984 0.674 0.784 x1

---

[6]
Starting from a DFT-relaxed cell (PBE+U, Alexandria), the powder diffraction line list of V2O3F was simulated for Cu Ka.
Intensities are scaled so that the largest is 100.

Peak list (6 most intense, 2θ = 15–90°, by intensity)
two_theta	I/Imax
27.82	100
35.37	92
25.91	92
54.25	55
52.09	49
67.46	36

Atomic structure:
Unit cell a=6.034 b=6.414 c=6.879 alpha=90.00 beta=90.00 gamma=90.00
Space group Imma (No. 74)
One atom of each set of equivalent atoms:
1 V 0.000 0.250 0.206 x4
2 V 0.250 0.250 0.750 x4
3 O 0.000 0.250 0.945 x4
4 O 0.250 0.058 0.250 x8
5 F 0.000 0.250 0.548 x4

---

[7]
Starting from a DFT-relaxed cell (PBE+U, Alexandria), the powder diffraction line list of V4O3F5 was simulated for Cu Ka.
Intensities are scaled so that the largest is 100.

Peak list (6 most intense, 2θ = 15–90°, by intensity)
two_theta	I/Imax
25.40	100
27.11	89
34.30	88
50.74	69
65.59	52
52.68	46

Atomic structure:
Unit cell a=6.237 b=7.015 c=6.578 alpha=90.00 beta=90.00 gamma=90.00
Space group Imm2 (No. 44)
One atom of each set of equivalent atoms:
1 V 0.000 0.000 0.000 x2
2 V 0.000 0.500 0.464 x2
3 V 0.231 0.500 0.962 x4
4 O 0.000 0.000 0.285 x2
5 O 0.000 0.500 0.175 x2
6 O 0.000 0.500 0.754 x2
7 F 0.000 0.000 0.679 x2
8 F 0.244 0.194 0.971 x8

---

[8]
Starting from a DFT-relaxed cell (PBE+U, Alexandria), the powder diffraction line list of V2O3F was simulated for Cu Ka.
Intensities are scaled so that the largest is 100.

Peak list (6 most intense, 2θ = 15–90°, by intensity)
two_theta	I/Imax
25.65	100
20.23	91
40.68	49
52.69	43
31.63	42
35.45	40

Atomic structure:
Unit cell a=10.464 b=4.835 c=5.680 alpha=90.00 beta=90.00 gamma=90.00
Space group Pna2_1 (No. 33)
One atom of each set of equivalent atoms:
1 V 0.030 0.076 0.000 x4
2 V 0.235 0.569 0.231 x4
3 O 0.086 0.813 0.245 x4
4 O 0.097 0.864 0.739 x4
5 O 0.163 0.302 0.990 x4
6 F 0.174 0.309 0.485 x4

---

[9]
Starting from a DFT-relaxed cell (PBE+U, Alexandria), the powder diffraction line list of V6O7F5 was simulated for Cu Ka.
Intensities are scaled so that the largest is 100.

Peak list (6 most intense, 2θ = 15–90°, by intensity)
two_theta	I/Imax
26.95	100
34.71	26
34.57	25
52.81	23
39.83	18
52.55	15

Atomic structure:
Unit cell a=4.671 b=5.614 c=7.803 alpha=93.54 beta=90.26 gamma=90.01
Space group P1 (No. 1)
One atom of each set of equivalent atoms:
1 V 0.000 0.000 0.000 x1
2 V 0.004 0.309 0.364 x1
3 V 0.435 0.489 0.024 x1
4 V 0.463 0.841 0.342 x1
5 V 0.491 0.159 0.684 x1
6 V 0.988 0.663 0.697 x1
7 O 0.171 0.037 0.246 x1
8 O 0.172 0.364 0.582 x1
9 O 0.184 0.694 0.914 x1
10 O 0.263 0.531 0.260 x1
11 O 0.284 0.196 0.909 x1
12 O 0.684 0.131 0.441 x1
13 O 0.779 0.951 0.777 x1
14 F 0.280 0.865 0.578 x1
15 F 0.677 0.793 0.114 x1
16 F 0.681 0.458 0.797 x1
17 F 0.773 0.629 0.457 x1
18 F 0.780 0.301 0.116 x1

---

[10]
Starting from a DFT-relaxed cell (PBE+U, Alexandria), the powder diffraction line list of V6O5F19 was simulated for Cu Ka.
Intensities are scaled so that the largest is 100.

Peak list (6 most intense, 2θ = 15–90°, by intensity)
two_theta	I/Imax
23.22	100
25.34	97
18.73	94
21.45	24
48.07	19
38.00	14

Atomic structure:
Unit cell a=5.576 b=5.717 c=14.494 alpha=78.63 beta=88.85 gamma=84.23
Space group P1 (No. 1)
One atom of each set of equivalent atoms:
1 V 0.000 0.000 0.000 x1
2 V 0.001 0.666 0.668 x1
3 V 0.368 0.709 0.335 x1
4 V 0.498 0.498 0.008 x1
5 V 0.501 0.162 0.676 x1
6 V 0.906 0.244 0.339 x1
7 O 0.174 0.521 0.325 x1
8 O 0.190 0.864 0.651 x1
9 O 0.194 0.193 0.983 x1
10 O 0.681 0.685 0.025 x1
11 O 0.688 0.345 0.693 x1
12 F 0.009 0.196 0.457 x1
13 F 0.014 0.870 0.121 x1
14 F 0.018 0.535 0.790 x1
15 F 0.166 0.007 0.309 x1
16 F 0.208 0.720 0.978 x1
17 F 0.215 0.390 0.646 x1
18 F 0.362 0.736 0.455 x1
19 F 0.369 0.059 0.788 x1
20 F 0.370 0.391 0.119 x1
21 F 0.496 0.797 0.223 x1
22 F 0.517 0.488 0.887 x1
23 F 0.518 0.153 0.555 x1
24 F 0.653 0.490 0.367 x1
25 F 0.690 0.024 0.351 x1
26 F 0.717 0.865 0.699 x1
27 F 0.720 0.204 0.030 x1
28 F 0.868 0.011 0.889 x1
29 F 0.870 0.675 0.557 x1
30 F 0.875 0.364 0.217 x1

---

[11]
Starting from a DFT-relaxed cell (PBE+U, Alexandria), the powder diffraction line list of V6O7F5 was simulated for Cu Ka.
Intensities are scaled so that the largest is 100.

Peak list (6 most intense, 2θ = 15–90°, by intensity)
two_theta	I/Imax
27.10	100
26.48	99
52.31	43
53.50	30
52.54	29
34.57	25

Atomic structure:
Unit cell a=4.719 b=5.596 c=7.803 alpha=94.02 beta=90.13 gamma=91.72
Space group P1 (No. 1)
One atom of each set of equivalent atoms:
1 V 0.000 0.000 0.000 x1
2 V 0.004 0.328 0.334 x1
3 V 0.445 0.855 0.349 x1
4 V 0.479 0.525 0.995 x1
5 V 0.531 0.151 0.668 x1
6 V 0.988 0.668 0.685 x1
7 O 0.189 0.706 0.908 x1
8 O 0.190 0.050 0.231 x1
9 O 0.285 0.870 0.568 x1
10 O 0.305 0.561 0.246 x1
11 O 0.684 0.462 0.772 x1
12 O 0.692 0.115 0.422 x1
13 O 0.795 0.962 0.783 x1
14 F 0.194 0.361 0.573 x1
15 F 0.298 0.204 0.900 x1
16 F 0.690 0.817 0.113 x1
17 F 0.792 0.623 0.441 x1
18 F 0.793 0.314 0.099 x1